The following is a computed powder XRD pattern of Dy2Ho3Lu3. It was derived from the PBE geometry in OQMD, using CuKα.
No peak broadening, texture or thermal motion is included.

Top 12 peaks for 10 to 90 degrees two-theta, in order of falling intensity:
- 33.23 deg, rel. 100, (2 0 1)
- 32.29 deg, rel. 24, (0 0 2)
- 28.94 deg, rel. 24, (2 0 0)
- 61.91 deg, rel. 22, (2 2 2)
- 58.18 deg, rel. 20, (2 0 3)
- 51.28 deg, rel. 20, (2 2 0)
- 62.48 deg, rel. 16, (4 0 1)
- 43.90 deg, rel. 16, (2 0 2)
- 84.98 deg, rel. 14, (4 2 1)
- 89.60 deg, rel. 9, (2 2 4)
- 81.22 deg, rel. 8, (4 0 3)
- 69.76 deg, rel. 4, (4 0 2)

Structural model:
Cell: 7.1260 7.1260 5.5449 Å, 90.00 90.00 120.00°
Space group P-6m2 (No. 187)
One atom of each set of equivalent atoms:
Dy1 0.0000 0.0000 0.0000 [1 per cell]
Dy2 0.3333 0.6667 0.5000 [1 per cell]
Ho1 0.5004 0.0008 0.0000 [3 per cell]
Lu1 0.3343 0.1672 0.5000 [3 per cell]